# CaP2PdO7
Calculated powder diffraction line list, Cu Kα. Input: a cell relaxed with GGA-PBE.
Peak positions follow from Bragg's law for the DFT cell and can differ from measured ones.

Structural model:
a = 13.1270 Å, b = 5.9670 Å, c = 7.2967 Å
α = 90.00°, β = 90.00°, γ = 90.00°
Space group Pnma (No. 62)
Asymmetric unit:
Ca 0.2441 0.2500 0.2409 [4 per cell]
P 0.0947 0.7500 0.1719 [4 per cell]
P 0.1247 0.2500 0.7918 [4 per cell]
Pd 0.0000 0.0000 0.5000 [4 per cell]
O 0.0204 0.2500 0.9090 [4 per cell]
O 0.1024 0.5297 0.2873 [8 per cell]
O 0.1242 0.0342 0.6709 [8 per cell]
O 0.1679 0.7500 0.0159 [4 per cell]
O 0.2107 0.2500 0.9266 [4 per cell]

Largest 10 diffraction maxima, low angle first, 2θ = 5–70°:
2θ 13.5, I = 49.3; 2θ 13.9, I = 93.0; 2θ 23.6, I = 28.0; 2θ 23.7, I = 58.2; 2θ 28.0, I = 42.5; 2θ 33.0, I = 43.1; 2θ 33.1, I = 100.0; 2θ 33.5, I = 28.6; 2θ 36.8, I = 30.4; 2θ 48.2, I = 24.8